Diffraction record for VCr3O7. The X-ray diffraction stick pattern is computed, not measured: it uses the GGA+U geometry in Alexandria and Cu Kα (λ = 1.5418 Å).
Lines closer than 0.1° are merged.

Most intense lines, 2θ from 10° to 80°, in order of rising 2θ:
2θ/deg	I_rel
28.66	11.4
31.30	100.0
32.16	85.0
34.07	9.1
36.55	11.8
36.94	13.2
52.10	10.4
52.94	59.8
54.35	19.3
62.55	20.0
63.05	11.5
64.07	20.3

```
VCr3O7
1.0
3.5111 -4.9171 0.0000
3.5111 4.9171 0.0000
0.0000 0.0000 6.7519
V Cr O
2 6 14
direct
0.0232 0.0232 0.0000
0.9768 0.9768 0.5000
0.0024 0.4873 0.2407
0.4362 0.4362 0.5000
0.4873 0.0024 0.7593
0.5127 0.9976 0.2593
0.5638 0.5638 0.0000
0.9976 0.5127 0.7407
0.0444 0.9556 0.7500
0.0446 0.3239 0.9682
0.0821 0.3349 0.5205
0.3239 0.0446 0.0318
0.3349 0.0821 0.4795
0.3452 0.6548 0.7500
0.3734 0.6266 0.2500
0.6266 0.3734 0.7500
0.6548 0.3452 0.2500
0.6651 0.9179 0.9795
0.6761 0.9554 0.5318
0.9179 0.6651 0.0205
0.9554 0.6761 0.4682
0.9556 0.0444 0.2500
```